Record 1
This entry pairs a crystal structure of PdSCl with its simulated X-ray diffraction stick pattern. Radiation: Cu Kα (λ = 1.5418 Å). Structure: a structure optimized by DFT (PBE).

Crystal structure
a b c (Å): 8.298 12.684 9.715
angles (deg): 90.00 111.58 90.00
Sites, in units of the cell vectors:
Pd  0.101  0.134  0.060
Pd  0.101  0.366  0.060
Pd  0.338  0.250  0.953
Pd  0.366  0.750  0.710
Pd  0.397  0.134  0.397
Pd  0.397  0.366  0.397
Pd  0.603  0.634  0.603
Pd  0.603  0.866  0.603
Pd  0.634  0.250  0.290
Pd  0.662  0.750  0.047
Pd  0.899  0.634  0.940
Pd  0.899  0.866  0.940
S  0.103  0.166  0.295
S  0.103  0.334  0.295
S  0.355  0.043  0.181
S  0.355  0.457  0.181
S  0.473  0.628  0.897
S  0.473  0.872  0.897
S  0.527  0.128  0.103
S  0.527  0.372  0.103
S  0.645  0.543  0.819
S  0.645  0.957  0.819
S  0.897  0.666  0.705
S  0.897  0.834  0.705
Cl  0.140  0.110  0.828
Cl  0.140  0.390  0.828
Cl  0.146  0.750  0.043
Cl  0.293  0.611  0.528
Cl  0.293  0.889  0.528
Cl  0.420  0.250  0.601
Cl  0.580  0.750  0.399
Cl  0.707  0.111  0.472
Cl  0.707  0.389  0.472
Cl  0.854  0.250  0.957
Cl  0.860  0.610  0.172
Cl  0.860  0.890  0.172

Most intense lines, 2θ from 10° to 90°, low angle first:
2theta  I (rel.)  index
11.5  13  1 0 0
12.0  100  1 0 -1
13.4  34  1 1 0
13.9  55  0 2 0
25.2  12  2 1 -2
30.7  17  1 4 -1
36.6  21  0 3 3
46.8  12  0 5 3

---

Record 2
This entry pairs a crystal structure of PdSCl with its simulated X-ray diffraction stick pattern. Radiation: Cu Kα (λ = 1.5418 Å). Structure: a structure optimized by DFT (PBE).

Crystal structure
a b c (Å): 9.255 9.645 16.850
angles (deg): 90.00 121.36 90.00
Sites, in units of the cell vectors:
Pd  0.043  0.207  0.018
Pd  0.043  0.293  0.518
Pd  0.078  0.095  0.678
Pd  0.078  0.405  0.178
Pd  0.274  0.078  0.478
Pd  0.274  0.422  0.978
Pd  0.309  0.620  0.139
Pd  0.309  0.880  0.639
Pd  0.691  0.120  0.361
Pd  0.691  0.380  0.861
Pd  0.726  0.578  0.022
Pd  0.726  0.922  0.522
Pd  0.922  0.595  0.822
Pd  0.922  0.905  0.322
Pd  0.957  0.707  0.482
Pd  0.957  0.793  0.982
S  0.113  0.737  0.413
S  0.113  0.763  0.913
S  0.263  0.235  0.663
S  0.263  0.265  0.163
S  0.335  0.654  0.012
S  0.335  0.846  0.512
S  0.413  0.096  0.638
S  0.413  0.404  0.138
S  0.587  0.596  0.862
S  0.587  0.904  0.362
S  0.665  0.154  0.488
S  0.665  0.346  0.988
S  0.737  0.735  0.837
S  0.737  0.765  0.337
S  0.887  0.237  0.087
S  0.887  0.263  0.587
Cl  0.136  0.036  0.315
Cl  0.136  0.464  0.815
Cl  0.203  0.651  0.628
Cl  0.203  0.849  0.128
Cl  0.228  0.178  0.960
Cl  0.228  0.322  0.460
Cl  0.298  0.565  0.274
Cl  0.298  0.935  0.774
Cl  0.702  0.065  0.226
Cl  0.702  0.435  0.726
Cl  0.772  0.678  0.540
Cl  0.772  0.822  0.040
Cl  0.797  0.151  0.872
Cl  0.797  0.349  0.372
Cl  0.864  0.536  0.185
Cl  0.864  0.964  0.685

Most intense lines, 2θ from 10° to 90°, low angle first:
2theta  I (rel.)  index
11.0  100  0 1 1
11.2  37  1 0 0
11.5  44  1 0 -2
17.9  24  1 1 1
21.8  20  1 2 -2
22.5  22  2 0 0
34.0  26  2 3 -2
35.1  27  3 0 -6